(1)
HgAu15: computed XRD peak list (copper Kα), based on the PBE geometry in OQMD.

Top 8 peaks for 2θ from 15° to 90°, by intensity:
| 2θ (°) | I/Imax |
| --- | --- |
| 37.81 | 100 |
| 44.07 | 42 |
| 76.86 | 26 |
| 36.67 | 24 |
| 63.79 | 19 |
| 43.69 | 14 |
| 64.07 | 13 |
| 76.34 | 10 |

Cell and atoms:
Cell lengths 5.8166, 2.9053, 45.5759 Å; angles 90.00, 90.06, 90.00 degrees
Fractional positions:
Hg 0.1250 0.2500 0.3554
Hg 0.8750 0.7500 0.6446
Au 0.1234 0.2500 0.7018
Au 0.1235 0.2500 0.7937
Au 0.1248 0.2500 0.0686
Au 0.1251 0.2500 0.1598
Au 0.1248 0.2500 0.2531
Au 0.1255 0.2500 0.8858
Au 0.1251 0.2500 0.9770
Au 0.3734 0.7500 0.2982
Au 0.3735 0.7500 0.2063
Au 0.3752 0.7500 0.0230
Au 0.3755 0.7500 0.1141
Au 0.3750 0.7500 0.6570
Au 0.3750 0.7500 0.7481
Au 0.3751 0.7500 0.8399
Au 0.3748 0.7500 0.9313
Au 0.6252 0.2500 0.0687
Au 0.6249 0.2500 0.1601
Au 0.6250 0.2500 0.2519
Au 0.6250 0.2500 0.3430
Au 0.6245 0.2500 0.8859
Au 0.6248 0.2500 0.9770
Au 0.6265 0.2500 0.7937
Au 0.6266 0.2500 0.7018
Au 0.8749 0.7500 0.0230
Au 0.8745 0.7500 0.1142
Au 0.8752 0.7500 0.7469
Au 0.8749 0.7500 0.8402
Au 0.8752 0.7500 0.9314
Au 0.8765 0.7500 0.2063
Au 0.8766 0.7500 0.2982


(2)
GdPSeS3: computed XRD peak list (copper Kα), based on the PBE geometry in OQMD.

Top 8 peaks for 2θ from 15° to 90°, by intensity:
| 2θ (°) | I/Imax |
| --- | --- |
| 17.91 | 100 |
| 28.56 | 74 |
| 27.12 | 57 |
| 30.45 | 57 |
| 20.34 | 49 |
| 35.32 | 48 |
| 36.84 | 41 |
| 17.46 | 41 |

Cell and atoms:
Cell lengths 6.5222, 6.6238, 7.7622 Å; angles 88.22, 87.07, 83.25 degrees
Fractional positions:
Gd 0.2064 0.2120 0.0537
Gd 0.7936 0.7880 0.9463
P 0.3006 0.7567 0.8127
P 0.6994 0.2433 0.1873
Se 0.4246 0.2636 0.3589
Se 0.5754 0.7364 0.6411
S 0.0895 0.0076 0.7627
S 0.1226 0.5204 0.7894
S 0.3772 0.7768 0.0674
S 0.6228 0.2232 0.9326
S 0.8774 0.4796 0.2106
S 0.9105 0.9924 0.2373


(3)
TePt7: computed XRD peak list (copper Kα), based on the PBE geometry in OQMD.

Top 8 peaks for 2θ from 15° to 90°, by intensity:
| 2θ (°) | I/Imax |
| --- | --- |
| 38.54 | 100 |
| 40.43 | 79 |
| 45.45 | 57 |
| 38.12 | 43 |
| 46.88 | 40 |
| 38.64 | 37 |
| 67.34 | 36 |
| 43.36 | 30 |

Cell and atoms:
Cell lengths 2.9271, 3.8775, 32.7378 Å; angles 90.00, 90.00, 90.00 degrees
Fractional positions:
Te 0.2500 0.2500 0.1808
Te 0.7500 0.7500 0.8192
Pt 0.2500 0.2500 0.2669
Pt 0.2500 0.2500 0.3519
Pt 0.2500 0.2500 0.4369
Pt 0.2500 0.2500 0.5211
Pt 0.2500 0.2500 0.6052
Pt 0.2500 0.2500 0.6898
Pt 0.2500 0.2500 0.7797
Pt 0.7500 0.7500 0.2203
Pt 0.7500 0.7500 0.3102
Pt 0.7500 0.7500 0.3948
Pt 0.7500 0.7500 0.4789
Pt 0.7500 0.7500 0.5631
Pt 0.7500 0.7500 0.6481
Pt 0.7500 0.7500 0.7331


(4)
Rb2AgBrCl3: computed XRD peak list (copper Kα), based on the PBE geometry in OQMD.

Top 8 peaks for 2θ from 15° to 90°, by intensity:
| 2θ (°) | I/Imax |
| --- | --- |
| 26.12 | 100 |
| 31.44 | 68 |
| 33.25 | 58 |
| 26.61 | 50 |
| 44.03 | 48 |
| 34.81 | 47 |
| 23.45 | 44 |
| 48.90 | 32 |

Cell and atoms:
Cell lengths 4.4067, 10.7798, 10.3098 Å; angles 90.00, 90.00, 90.00 degrees
Fractional positions:
Rb 0.0000 0.2392 0.0000
Rb 0.0000 0.2608 0.5000
Rb 0.0000 0.7392 0.5000
Rb 0.0000 0.7608 0.0000
Ag 0.5000 0.0000 0.7469
Ag 0.5000 0.5000 0.2469
Br 0.5000 0.0000 0.4957
Br 0.5000 0.5000 0.9957
Cl 0.5000 0.0000 0.9880
Cl 0.5000 0.2291 0.7480
Cl 0.5000 0.2709 0.2480
Cl 0.5000 0.5000 0.4880
Cl 0.5000 0.7291 0.2480
Cl 0.5000 0.7709 0.7480


(5)
ReC5IO5: computed XRD peak list (copper Kα), based on the PBE geometry in OQMD.

Top 8 peaks for 2θ from 15° to 90°, by intensity:
| 2θ (°) | I/Imax |
| --- | --- |
| 28.99 | 100 |
| 21.99 | 96 |
| 16.57 | 90 |
| 32.31 | 58 |
| 44.73 | 46 |
| 27.54 | 39 |
| 33.30 | 36 |
| 23.63 | 31 |

Cell and atoms:
Cell lengths 6.5679, 6.5679, 10.7003 Å; angles 90.00, 90.00, 110.03 degrees
Fractional positions:
Re 0.1406 0.8594 0.7500
Re 0.8594 0.1406 0.2500
C 0.0582 0.3222 0.1194
C 0.0582 0.3222 0.3806
C 0.3209 0.6791 0.7500
C 0.3222 0.0582 0.6194
C 0.3222 0.0582 0.8806
C 0.6778 0.9418 0.1194
C 0.6778 0.9418 0.3806
C 0.6791 0.3209 0.2500
C 0.9418 0.6778 0.6194
C 0.9418 0.6778 0.8806
I 0.1217 0.8783 0.2500
I 0.8783 0.1217 0.7500
O 0.1768 0.4254 0.0457
O 0.1768 0.4254 0.4543
O 0.4254 0.1768 0.5457
O 0.4254 0.1768 0.9543
O 0.4289 0.5711 0.7500
O 0.5711 0.4289 0.2500
O 0.5746 0.8232 0.0457
O 0.5746 0.8232 0.4543
O 0.8232 0.5746 0.5457
O 0.8232 0.5746 0.9543


(6)
YTmC2I2: computed XRD peak list (copper Kα), based on the PBE geometry in OQMD.

Top 8 peaks for 2θ from 15° to 90°, by intensity:
| 2θ (°) | I/Imax |
| --- | --- |
| 31.05 | 100 |
| 28.51 | 75 |
| 26.07 | 49 |
| 44.09 | 43 |
| 30.28 | 37 |
| 15.86 | 35 |
| 41.17 | 30 |
| 36.15 | 25 |

Cell and atoms:
Cell lengths 7.2807, 3.8724, 11.1954 Å; angles 90.00, 93.35, 90.00 degrees
Fractional positions:
Y 0.0000 0.0000 0.0000
Y 0.5000 0.5000 0.0000
Tm 0.2909 0.0000 0.2427
Tm 0.7909 0.5000 0.2427
C 0.0673 0.5000 0.1532
C 0.2229 0.5000 0.0965
C 0.5673 0.0000 0.1532
C 0.7229 0.0000 0.0965
I 0.3204 0.0000 0.8106
I 0.4680 0.5000 0.4287
I 0.8204 0.5000 0.8106
I 0.9680 0.0000 0.4287


(7)
Dy3Ho2Tm3: computed XRD peak list (copper Kα), based on the PBE geometry in OQMD.

Top 8 peaks for 2θ from 15° to 90°, by intensity:
| 2θ (°) | I/Imax |
| --- | --- |
| 33.07 | 100 |
| 28.78 | 24 |
| 32.20 | 24 |
| 61.60 | 23 |
| 57.97 | 20 |
| 50.99 | 20 |
| 62.13 | 16 |
| 43.73 | 15 |

Cell and atoms:
Cell lengths 5.5592, 7.1647, 12.4089 Å; angles 90.00, 90.00, 90.00 degrees
Fractional positions:
Dy 0.0000 0.0000 0.0000
Dy 0.0000 0.5000 0.5000
Dy 0.5000 0.2503 0.4171
Dy 0.5000 0.2497 0.9171
Dy 0.5000 0.7497 0.4171
Dy 0.5000 0.7503 0.9171
Ho 0.0000 0.0000 0.5000
Ho 0.0000 0.5000 0.0000
Ho 0.5000 0.0000 0.1667
Ho 0.5000 0.5000 0.6667
Tm 0.0000 0.2500 0.2505
Tm 0.0000 0.2500 0.7505
Tm 0.0000 0.7500 0.2505
Tm 0.0000 0.7500 0.7505
Tm 0.5000 0.0000 0.6670
Tm 0.5000 0.5000 0.1670


(8)
BaSiAg2Te2Se2: computed XRD peak list (copper Kα), based on the PBE geometry in OQMD.

Top 8 peaks for 2θ from 15° to 90°, by intensity:
| 2θ (°) | I/Imax |
| --- | --- |
| 27.17 | 100 |
| 26.63 | 86 |
| 33.54 | 64 |
| 28.48 | 60 |
| 49.12 | 49 |
| 43.66 | 42 |
| 44.72 | 41 |
| 35.26 | 38 |

Cell and atoms:
Cell lengths 6.8585, 6.6590, 7.3852 Å; angles 58.19, 55.60, 66.21 degrees
Fractional positions:
Ba 0.0000 0.0000 0.0000
Si 0.4868 0.4868 0.5132
Ag 0.2712 0.2712 0.2288
Ag 0.7712 0.7712 0.7288
Te 0.4598 0.8493 0.1507
Te 0.8493 0.4598 0.5402
Se 0.1523 0.5275 0.8477
Se 0.5275 0.1523 0.4725


Number 4 is which compound?
Rb2AgBrCl3